This entry pairs a crystal structure of ReNi2 with its simulated powder diffractogram. Radiation: Cu Kα X-rays. Structure: a cell relaxed with GGA-PBE.
Intensities are scaled so that the largest is 100.

Peak list (10 most intense, 2θ = 10–90°, low angle first)
index, Position (°2θ), I/Imax
1 0 0, 22.15, 17
1 1 0, 38.86, 69
1 0 3, 42.39, 95
2 0 0, 45.18, 15
1 1 2, 45.96, 100
2 0 1, 46.84, 48
2 1 3, 72.80, 37
3 0 2, 75.38, 23
2 0 5, 79.43, 27
2 2 0, 83.42, 21

```
ReNi2
1.0
4.634 0.000 0.000
-2.317 4.013 0.000
0.000 0.000 7.550
Re Ni
4 8
direct
0.333 0.667 0.060
0.333 0.667 0.440
0.667 0.333 0.560
0.667 0.333 0.940
0.000 0.000 0.000
0.000 0.000 0.500
0.170 0.340 0.750
0.170 0.830 0.750
0.340 0.170 0.250
0.660 0.830 0.750
0.830 0.170 0.250
0.830 0.660 0.250
```